No. 1
# K6Na2Fe7O38
Simulated PXRD pattern, copper Kα. Input: a cell relaxed with GGA+U.
Neutral-atom scattering factors, no anomalous dispersion.

The 10 most intense peaks (10 to 90 degrees two-theta), in order of falling intensity:
15.90°, intensity 100, hkl 0 0 3
13.15°, intensity 78, hkl 0 1 2
28.52°, intensity 75, hkl 0 3 3
31.68°, intensity 52, hkl 2 2 3
27.82°, intensity 45, hkl 0 1 5
41.75°, intensity 43, hkl 0 4 5
22.67°, intensity 41, hkl 1 0 4
26.49°, intensity 40, hkl 0 2 4
33.35°, intensity 39, hkl 0 4 2
56.15°, intensity 38, hkl 4 4 0

Cell and atoms:
```
data_K6Na2Fe7O38
_space_group_name_H-M_alt 'R 3 2'
_space_group_IT_number 155
_space_group_name_Hall 'R 3 2"'
_cell_length_a 13.1048
_cell_length_b 13.1048
_cell_length_c 16.7181
_cell_angle_alpha 90.00
_cell_angle_beta 90.00
_cell_angle_gamma 120.00
loop_
_atom_site_label
_atom_site_type_symbol
_atom_site_fract_x
_atom_site_fract_y
_atom_site_fract_z
K1 K 0.0051 0.5028 0.3603
Na1 Na 0.0000 0.0000 0.2535
Fe1 Fe 0.0000 0.0000 0.5000
Fe2 Fe 0.0000 0.2348 0.5000
Fe3 Fe 0.0000 0.7513 0.5000
O1 O 0.0000 0.0000 0.1001
O2 O 0.0034 0.5042 0.0992
O3 O 0.0250 0.3024 0.1100
O4 O 0.0278 0.6328 0.7657
O5 O 0.0486 0.9322 0.8660
O6 O 0.0821 0.9171 0.5518
O7 O 0.0945 0.5468 0.9383
```



No. 2
# Fe4O5F3
Simulated PXRD pattern, copper Kα. Input: a cell relaxed with GGA+U.
Neutral-atom scattering factors, no anomalous dispersion.

The 10 most intense peaks (10 to 90 degrees two-theta), in order of falling intensity:
25.27°, intensity 100, hkl 0 0 2
35.23°, intensity 93, hkl 2 1 1
27.84°, intensity 90, hkl 0 2 0
51.29°, intensity 62, hkl 2 1 3
54.18°, intensity 49, hkl 2 3 1
66.80°, intensity 39, hkl 2 3 3
37.95°, intensity 18, hkl 0 2 2
51.89°, intensity 17, hkl 0 0 4
39.29°, intensity 16, hkl 2 0 2
61.40°, intensity 15, hkl 4 0 0

Cell and atoms:
```
data_Fe4O5F3
_space_group_name_H-M_alt 'I m m 2'
_space_group_IT_number 44
_space_group_name_Hall 'I 2 -2'
_cell_length_a 6.040
_cell_length_b 6.409
_cell_length_c 7.049
_cell_angle_alpha 90.00
_cell_angle_beta 90.00
_cell_angle_gamma 90.00
loop_
_atom_site_label
_atom_site_type_symbol
_atom_site_fract_x
_atom_site_fract_y
_atom_site_fract_z
Fe1 Fe 0.000 0.000 0.000
Fe2 Fe 0.000 0.500 0.461
Fe3 Fe 0.241 0.500 0.999
O1 O 0.000 0.500 0.176
O2 O 0.244 0.305 0.488
F1 F 0.000 0.000 0.300
F2 F 0.000 0.000 0.684
F3 F 0.000 0.500 0.796
```



No. 3
# CoP4O12
Simulated PXRD pattern, copper Kα. Input: a cell relaxed with GGA+U.
Neutral-atom scattering factors, no anomalous dispersion.

The 10 most intense peaks (10 to 90 degrees two-theta), in order of falling intensity:
18.78°, intensity 100, hkl 2 0 -2
30.06°, intensity 82, hkl 0 2 2
14.59°, intensity 74, hkl 1 1 -1
19.74°, intensity 32, hkl 0 0 2
25.99°, intensity 28, hkl 3 1 0
23.69°, intensity 27, hkl 3 1 -1
13.60°, intensity 24, hkl 1 1 0
26.86°, intensity 24, hkl 1 1 2
31.36°, intensity 21, hkl 4 0 0
43.96°, intensity 20, hkl 1 3 -3

Cell and atoms:
```
data_CoP4O12
_space_group_name_H-M_alt 'C 1 2/c 1'
_space_group_IT_number 15
_space_group_name_Hall '-C 2yc'
_cell_length_a 12.804
_cell_length_b 7.925
_cell_length_c 10.091
_cell_angle_alpha 90.00
_cell_angle_beta 116.98
_cell_angle_gamma 90.00
loop_
_atom_site_label
_atom_site_type_symbol
_atom_site_fract_x
_atom_site_fract_y
_atom_site_fract_z
Co1 Co 0.250 0.250 0.000
P1 P 0.009 0.246 0.015
P2 P 0.178 0.012 0.688
O1 O 0.004 0.411 0.415
O2 O 0.067 0.112 0.152
O3 O 0.075 0.241 0.924
O4 O 0.121 0.171 0.578
O5 O 0.229 0.067 0.846
O6 O 0.239 0.426 0.858
```



No. 4
# Ba2YCr3O7
Simulated PXRD pattern, copper Kα. Input: a cell relaxed with GGA+U.
Neutral-atom scattering factors, no anomalous dispersion.

The 10 most intense peaks (10 to 90 degrees two-theta), in order of falling intensity:
31.81°, intensity 100, hkl 2 2 0
32.21°, intensity 55, hkl 2 0 6
56.42°, intensity 21, hkl 2 4 6
39.39°, intensity 21, hkl 2 2 6
57.12°, intensity 20, hkl 2 2 12
57.25°, intensity 18, hkl 4 2 6
45.00°, intensity 17, hkl 0 4 0
46.30°, intensity 16, hkl 4 0 0
22.62°, intensity 12, hkl 0 0 6
46.10°, intensity 10, hkl 0 0 12

Cell and atoms:
```
data_Ba2YCr3O7
_space_group_name_H-M_alt 'F m m 2'
_space_group_IT_number 42
_space_group_name_Hall 'F 2 -2'
_cell_length_a 7.843
_cell_length_b 8.058
_cell_length_c 23.629
_cell_angle_alpha 90.00
_cell_angle_beta 90.00
_cell_angle_gamma 90.00
loop_
_atom_site_label
_atom_site_type_symbol
_atom_site_fract_x
_atom_site_fract_y
_atom_site_fract_z
Ba1 Ba 0.250 0.250 0.000
Ba2 Ba 0.250 0.250 0.180
Y1 Y 0.250 0.250 0.340
Cr1 Cr 0.000 0.000 0.090
Cr2 Cr 0.000 0.000 0.267
Cr3 Cr 0.000 0.000 0.418
Cr4 Cr 0.000 0.000 0.591
Cr5 Cr 0.000 0.000 0.762
Cr6 Cr 0.000 0.000 0.914
O1 O 0.000 0.000 0.004
O2 O 0.000 0.000 0.175
O3 O 0.000 0.000 0.502
O4 O 0.000 0.000 0.679
O5 O 0.000 0.246 0.401
O6 O 0.000 0.246 0.779
O7 O 0.000 0.248 0.590
O8 O 0.246 0.000 0.400
O9 O 0.246 0.000 0.780
```



No. 5
# LiNiP4O12
Simulated PXRD pattern, copper Kα. Input: a cell relaxed with GGA+U.
Neutral-atom scattering factors, no anomalous dispersion.

The 10 most intense peaks (10 to 90 degrees two-theta), in order of falling intensity:
29.40°, intensity 100, hkl 0 2 2
20.60°, intensity 71, hkl 1 1 -2
26.04°, intensity 54, hkl 3 1 -2
27.78°, intensity 50, hkl 3 1 0
27.31°, intensity 38, hkl 2 2 0
19.06°, intensity 36, hkl 2 0 -2
17.00°, intensity 33, hkl 2 0 0
34.40°, intensity 24, hkl 4 0 0
38.94°, intensity 21, hkl 1 1 -4
42.55°, intensity 20, hkl 1 3 -3

Cell and atoms:
```
data_LiNiP4O12
_space_group_name_H-M_alt 'C 1 2/c 1'
_space_group_IT_number 15
_space_group_name_Hall '-C 2yc'
_cell_length_a 11.911
_cell_length_b 8.376
_cell_length_c 10.082
_cell_angle_alpha 90.00
_cell_angle_beta 118.89
_cell_angle_gamma 90.00
loop_
_atom_site_label
_atom_site_type_symbol
_atom_site_fract_x
_atom_site_fract_y
_atom_site_fract_z
Li1 Li 0.250 0.250 0.000
Ni1 Ni 0.000 0.055 0.750
P1 P 0.009 0.261 0.479
P2 P 0.198 0.493 0.695
O1 O 0.035 0.122 0.405
O2 O 0.046 0.234 0.916
O3 O 0.079 0.387 0.151
O4 O 0.141 0.359 0.564
O5 O 0.197 0.078 0.819
O6 O 0.231 0.422 0.845
```